(1)
This entry pairs a crystal structure of TmLuCdC with its simulated PXRD pattern. Radiation: λ = 1.5418 Å (Cu Kα). Structure: a structure optimized by DFT (PBE).
No peak broadening, texture or thermal motion is included.

Structure:
Lattice parameters (Å, degrees): 3.498 3.498 16.169 90.00 90.00 120.00
Atoms (fractional coordinates):
Tm 0.000 0.000 0.168
Tm 0.000 0.000 0.832
Lu 0.667 0.333 0.332
Lu 0.667 0.333 0.668
Cd 0.000 0.000 0.500
Cd 0.667 0.333 0.000
C 0.333 0.667 0.250
C 0.333 0.667 0.750

Largest 10 diffraction maxima, by angle, 10 to 90 degrees two-theta:
10.94°, rel. 8
29.48°, rel. 22
33.25°, rel. 22
33.95°, rel. 100
45.02°, rel. 16
52.30°, rel. 20
59.85°, rel. 19
63.40°, rel. 21
63.83°, rel. 16
86.99°, rel. 14

***

(2)
This entry pairs a crystal structure of LiCu5B2 with its simulated PXRD pattern. Radiation: λ = 1.5418 Å (Cu Kα). Structure: a structure optimized by DFT (PBE).
No peak broadening, texture or thermal motion is included.

Structure:
Lattice parameters (Å, degrees): 3.820 3.820 5.500 90.00 90.00 90.00
Atoms (fractional coordinates):
Li 0.000 0.000 0.000
Cu 0.000 0.500 0.240
Cu 0.000 0.500 0.760
Cu 0.500 0.000 0.240
Cu 0.500 0.000 0.760
Cu 0.500 0.500 0.500
B 0.000 0.000 0.500
B 0.500 0.500 0.000

Largest 10 diffraction maxima, by angle, 10 to 90 degrees two-theta:
23.28°, rel. 11
32.56°, rel. 19
33.16°, rel. 37
37.08°, rel. 10
47.16°, rel. 100
47.61°, rel. 49
58.87°, rel. 13
69.61°, rel. 14
87.40°, rel. 14
88.37°, rel. 29

***

(3)
This entry pairs a crystal structure of GdTmMg2Ag4 with its simulated PXRD pattern. Radiation: λ = 1.5418 Å (Cu Kα). Structure: a structure optimized by DFT (PBE).
No peak broadening, texture or thermal motion is included.

Structure:
Lattice parameters (Å, degrees): 4.904 4.904 6.940 90.00 90.00 90.00
Atoms (fractional coordinates):
Gd 0.000 0.000 0.000
Tm 0.500 0.500 0.500
Mg 0.000 0.000 0.500
Mg 0.500 0.500 0.000
Ag 0.000 0.500 0.256
Ag 0.000 0.500 0.744
Ag 0.500 0.000 0.256
Ag 0.500 0.000 0.744

Largest 10 diffraction maxima, by angle, 10 to 90 degrees two-theta:
22.19°, rel. 26
36.64°, rel. 100
43.25°, rel. 14
52.78°, rel. 17
57.95°, rel. 6
65.97°, rel. 34
70.54°, rel. 4
77.90°, rel. 10
82.21°, rel. 4
89.31°, rel. 15